This entry pairs a crystal structure of Y2GaNi2 with its theoretical XRD peak list. Radiation: Cu Ka. Structure: a crystal structure in the Materials Project, relaxed with PBE.
Lines closer than 0.1° are merged.

Most intense lines, 5° ≤ 2θ ≤ 70°, low angle first:
d [Å]	Rel. int.
3.296	10
2.587	100
2.485	23
2.303	43
2.209	58
2.087	17
2.054	29
1.583	11
1.534	23
1.349	26

Atomic structure:
Lattice parameters (Å, degrees): 5.409 5.409 5.409 135.36 118.65 78.99
Fractional coordinates of all 5 atoms:
1 Y 0.206 0.206 0.000
2 Y 0.794 0.794 0.000
3 Ga 0.500 0.000 0.500
4 Ni 0.218 0.500 0.718
5 Ni 0.782 0.500 0.282

***

This entry pairs a crystal structure of Y2Ga3Ni with its theoretical XRD peak list. Radiation: Cu Ka. Structure: a crystal structure in the Materials Project, relaxed with PBE.
Lines closer than 0.1° are merged.

Most intense lines, 5° ≤ 2θ ≤ 70°, low angle first:
d [Å]	Rel. int.
3.772	3
3.325	5
2.643	100
2.139	61
2.081	11
1.886	8
1.663	24
1.491	4
1.415	18
1.397	5

Atomic structure:
Lattice parameters (Å, degrees): 4.277 4.277 7.545 90.00 90.00 120.00
Fractional coordinates of all 6 atoms:
1 Y 0.000 0.000 0.000
2 Y 0.000 0.000 0.466
3 Ga 0.333 0.667 0.242
4 Ga 0.333 0.667 0.690
5 Ga 0.667 0.333 0.772
6 Ni 0.667 0.333 0.202

***

This entry pairs a crystal structure of YGa4Ni with its theoretical XRD peak list. Radiation: Cu Ka. Structure: a crystal structure in the Materials Project, relaxed with PBE.
Lines closer than 0.1° are merged.

Most intense lines, 5° ≤ 2θ ≤ 70°, low angle first:
d [Å]	Rel. int.
2.529	100
2.452	53
2.372	25
2.296	32
2.290	12
2.058	40
2.010	30
1.916	13
1.554	13
1.438	20

Atomic structure:
Lattice parameters (Å, degrees): 7.903 7.903 6.560 90.00 90.00 149.82
Fractional coordinates of all 12 atoms:
1 Y 0.118 0.882 0.750
2 Y 0.882 0.118 0.250
3 Ga 0.072 0.928 0.250
4 Ga 0.314 0.686 0.551
5 Ga 0.314 0.686 0.949
6 Ga 0.500 0.500 0.000
7 Ga 0.500 0.500 0.500
8 Ga 0.686 0.314 0.051
9 Ga 0.686 0.314 0.449
10 Ga 0.928 0.072 0.750
11 Ni 0.225 0.775 0.250
12 Ni 0.775 0.225 0.750

***

This entry pairs a crystal structure of ZnGa3Ni3 with its theoretical XRD peak list. Radiation: Cu Ka. Structure: a crystal structure in the Materials Project, relaxed with PBE.
Lines closer than 0.1° are merged.

Most intense lines, 5° ≤ 2θ ≤ 70°, low angle first:
d [Å]	Rel. int.
4.679	7
3.063	8
2.865	5
2.093	7
2.026	100
1.859	4
1.654	1
1.560	2
1.433	15
1.370	2

Atomic structure:
Lattice parameters (Å, degrees): 9.926 9.926 9.926 109.47 109.47 109.47
Fractional coordinates of all 56 atoms:
1 Zn 0.000 0.000 0.000
2 Zn 0.000 0.000 0.500
3 Zn 0.000 0.500 0.000
4 Zn 0.000 0.500 0.500
5 Zn 0.500 0.000 0.000
6 Zn 0.500 0.000 0.500
7 Zn 0.500 0.500 0.000
8 Zn 0.500 0.500 0.500
9 Ga 0.011 0.250 0.261
10 Ga 0.011 0.261 0.750
11 Ga 0.239 0.250 0.489
12 Ga 0.239 0.489 0.750
13 Ga 0.250 0.261 0.011
14 Ga 0.250 0.489 0.239
15 Ga 0.250 0.761 0.511
16 Ga 0.250 0.989 0.739
17 Ga 0.261 0.011 0.250
18 Ga 0.261 0.750 0.011
19 Ga 0.489 0.239 0.250
20 Ga 0.489 0.750 0.239
21 Ga 0.511 0.250 0.761
22 Ga 0.511 0.761 0.750
23 Ga 0.739 0.250 0.989
24 Ga 0.739 0.989 0.750
25 Ga 0.750 0.011 0.261
26 Ga 0.750 0.239 0.489
27 Ga 0.750 0.511 0.761
28 Ga 0.750 0.739 0.989
29 Ga 0.761 0.511 0.250
30 Ga 0.761 0.750 0.511
31 Ga 0.989 0.739 0.250
32 Ga 0.989 0.750 0.739
33 Ni 0.008 0.016 0.758
34 Ni 0.008 0.492 0.250
35 Ni 0.016 0.758 0.008
36 Ni 0.242 0.750 0.258
37 Ni 0.242 0.992 0.984
38 Ni 0.250 0.008 0.492
39 Ni 0.250 0.742 0.758
40 Ni 0.258 0.242 0.750
41 Ni 0.258 0.516 0.508
42 Ni 0.484 0.492 0.742
43 Ni 0.492 0.250 0.008
44 Ni 0.492 0.742 0.484
45 Ni 0.508 0.258 0.516
46 Ni 0.508 0.750 0.992
47 Ni 0.516 0.508 0.258
48 Ni 0.742 0.484 0.492
49 Ni 0.742 0.758 0.250
50 Ni 0.750 0.258 0.242
51 Ni 0.750 0.992 0.508
52 Ni 0.758 0.008 0.016
53 Ni 0.758 0.250 0.742
54 Ni 0.984 0.242 0.992
55 Ni 0.992 0.508 0.750
56 Ni 0.992 0.984 0.242